Record 1
Diffraction record for Rb2BeSeI6. The powder X-ray diffraction pattern is computed, not measured: it uses DFT lattice parameters and positions (PBE) and Cu Ka.

Atomic structure:
a b c (Å): 8.731 8.731 11.629
angles (deg): 90.00 90.00 90.00
Space group I4/mmm (No. 139)
One atom of each set of equivalent atoms:
Rb: 0.000 0.500 0.250
Be: 0.000 0.000 0.000
Se: 0.000 0.000 0.500
I: 0.000 0.000 0.192
I: 0.228 0.228 0.500

Main lines, low angle first (2θ from 15° to 90°):
| 2θ/deg | intensity | index |
| --- | --- | --- |
| 25.14 | 24 | 1 0 3 |
| 25.51 | 100 | 2 0 2 |
| 28.92 | 60 | 2 2 0 |
| 41.36 | 21 | 4 0 0 |
| 42.72 | 24 | 2 2 4 |
| 49.24 | 32 | 4 2 2 |


Record 2
Diffraction record for BeRhI. The powder X-ray diffraction pattern is computed, not measured: it uses DFT lattice parameters and positions (PBE) and Cu Ka.

Atomic structure:
a b c (Å): 3.398 3.748 9.500
angles (deg): 90.00 99.95 90.00
Space group P2_1/m (No. 11)
One atom of each set of equivalent atoms:
Be: 0.029 0.250 0.066
Rh: 0.445 0.250 0.894
I: 0.342 0.750 0.688

Main lines, low angle first (2θ from 15° to 90°):
| 2θ/deg | intensity | index |
| --- | --- | --- |
| 26.66 | 100 | 1 0 -1 |
| 30.56 | 92 | 0 1 2 |
| 37.51 | 29 | 0 1 3 |
| 43.22 | 55 | 1 1 2 |
| 43.41 | 54 | 1 1 -3 |
| 48.61 | 37 | 0 2 0 |


Record 3
Diffraction record for Be2RhI. The powder X-ray diffraction pattern is computed, not measured: it uses DFT lattice parameters and positions (PBE) and Cu Ka.

Atomic structure:
a b c (Å): 5.495 5.495 10.549
angles (deg): 90.00 90.00 90.00
Space group I-42d (No. 122)
One atom of each set of equivalent atoms:
Be: 0.186 0.250 0.125
Rh: 0.000 0.000 0.000
I: 0.000 0.000 0.500

Main lines, low angle first (2θ from 15° to 90°):
| 2θ/deg | intensity | index |
| --- | --- | --- |
| 28.53 | 100 | 1 1 2 |
| 32.59 | 32 | 2 0 0 |
| 33.99 | 14 | 0 0 4 |
| 47.81 | 26 | 2 0 4 |
| 55.70 | 30 | 3 1 2 |
| 57.54 | 14 | 1 1 6 |


Record 4
Diffraction record for BeSb2I8. The powder X-ray diffraction pattern is computed, not measured: it uses DFT lattice parameters and positions (PBE) and Cu Ka.

Atomic structure:
a b c (Å): 13.540 7.664 12.820
angles (deg): 90.00 109.62 90.00
Space group C2/m (No. 12)
One atom of each set of equivalent atoms:
Be: 0.000 0.000 0.000
Sb: 0.195 0.000 0.335
I: 0.089 0.236 0.136
I: 0.111 0.500 0.685
I: 0.230 0.500 0.415

Main lines, low angle first (2θ from 15° to 90°):
| 2θ/deg | intensity | index |
| --- | --- | --- |
| 16.47 | 37 | 2 0 -2 |
| 24.37 | 100 | 0 2 1 |
| 26.88 | 85 | 4 0 -2 |
| 27.14 | 56 | 2 2 0 |
| 32.25 | 69 | 0 2 3 |
| 45.45 | 36 | 4 2 -5 |


Record 5
Diffraction record for ScBeVI. The powder X-ray diffraction pattern is computed, not measured: it uses DFT lattice parameters and positions (PBE) and Cu Ka.

Atomic structure:
a b c (Å): 3.444 3.444 6.606
angles (deg): 90.00 90.00 90.00
Space group P4mm (No. 99)
One atom of each set of equivalent atoms:
Sc: 0.000 0.000 0.000
Be: 0.000 0.000 0.623
V: 0.500 0.500 0.719
I: 0.500 0.500 0.281

Main lines, low angle first (2θ from 15° to 90°):
| 2θ/deg | intensity | index |
| --- | --- | --- |
| 25.87 | 48 | 1 0 0 |
| 29.25 | 53 | 1 0 1 |
| 36.92 | 62 | 1 1 0 |
| 37.74 | 100 | 1 0 2 |
| 53.20 | 20 | 2 0 0 |
| 67.05 | 34 | 2 1 2 |


Record 6
Diffraction record for BeSnI3. The powder X-ray diffraction pattern is computed, not measured: it uses DFT lattice parameters and positions (PBE) and Cu Ka.

Atomic structure:
a b c (Å): 5.327 5.327 5.327
angles (deg): 90.00 90.00 90.00
Space group Pm-3m (No. 221)
One atom of each set of equivalent atoms:
Be: 0.000 0.000 0.000
Sn: 0.500 0.500 0.500
I: 0.000 0.000 0.500

Main lines, low angle first (2θ from 15° to 90°):
| 2θ/deg | intensity | index |
| --- | --- | --- |
| 29.03 | 100 | 1 1 1 |
| 33.65 | 53 | 2 0 0 |
| 48.33 | 38 | 2 2 0 |
| 57.37 | 44 | 3 1 1 |
| 78.23 | 18 | 3 3 1 |
| 80.67 | 18 | 4 2 0 |


Record 7
Diffraction record for Be2Sn2I. The powder X-ray diffraction pattern is computed, not measured: it uses DFT lattice parameters and positions (PBE) and Cu Ka.

Atomic structure:
a b c (Å): 8.623 8.623 3.028
angles (deg): 90.00 90.00 90.00
Space group P4/mbm (No. 127)
One atom of each set of equivalent atoms:
Be: 0.145 0.355 0.000
Sn: 0.148 0.648 0.500
I: 0.000 0.000 0.500

Main lines, low angle first (2θ from 15° to 90°):
| 2θ/deg | intensity | index |
| --- | --- | --- |
| 23.06 | 100 | 2 1 0 |
| 29.50 | 56 | 0 0 1 |
| 32.85 | 97 | 3 1 0 |
| 37.78 | 71 | 2 1 1 |
| 44.73 | 74 | 3 1 1 |
| 66.00 | 22 | 5 2 1 |


Record 8
Diffraction record for BeTlI3. The powder X-ray diffraction pattern is computed, not measured: it uses DFT lattice parameters and positions (PBE) and Cu Ka.

Atomic structure:
a b c (Å): 8.041 9.116 13.747
angles (deg): 90.00 124.24 90.00
Space group P2_1/c (No. 14)
One atom of each set of equivalent atoms:
Be: 0.202 0.161 0.097
Tl: 0.181 0.633 0.232
I: 0.066 0.702 0.933
I: 0.290 0.187 0.964
I: 0.381 0.006 0.256

Main lines, low angle first (2θ from 15° to 90°):
| 2θ/deg | intensity | index |
| --- | --- | --- |
| 25.05 | 58 | 0 2 2 |
| 25.27 | 61 | 2 1 -1 |
| 27.55 | 100 | 2 0 -4 |
| 28.59 | 43 | 2 1 0 |
| 30.69 | 52 | 0 2 3 |
| 31.48 | 94 | 0 0 4 |


Record 9
Diffraction record for Be5In. The powder X-ray diffraction pattern is computed, not measured: it uses DFT lattice parameters and positions (PBE) and Cu Ka.

Atomic structure:
a b c (Å): 2.675 2.675 9.748
angles (deg): 90.00 90.00 90.00
Space group P4/mmm (No. 123)
One atom of each set of equivalent atoms:
Be: 0.000 0.000 0.000
Be: 0.000 0.000 0.247
Be: 0.500 0.500 0.125
In: 0.500 0.500 0.500

Main lines, low angle first (2θ from 15° to 90°):
| 2θ/deg | intensity | index |
| --- | --- | --- |
| 18.20 | 100 | 0 0 2 |
| 27.45 | 45 | 0 0 3 |
| 33.50 | 45 | 1 0 0 |
| 34.78 | 87 | 1 0 1 |
| 38.39 | 76 | 1 0 2 |
| 43.84 | 58 | 1 0 3 |


Record 10
Diffraction record for Be2In3. The powder X-ray diffraction pattern is computed, not measured: it uses DFT lattice parameters and positions (PBE) and Cu Ka.

Atomic structure:
a b c (Å): 3.2933 3.2933 30.8569
angles (deg): 90.00 90.00 120.00
Space group R-3m (No. 166, hexagonal axes)
One atom of each set of equivalent atoms:
Be: 0.0000 0.0000 0.1034
In: 0.0000 0.0000 0.2912
In: 0.0000 0.0000 0.5000

Main lines, low angle first (2θ from 15° to 90°):
| 2θ/deg | intensity | index |
| --- | --- | --- |
| 25.99 | 42 | 0 0 9 |
| 31.50 | 29 | 1 0 1 |
| 33.50 | 45 | 1 0 4 |
| 34.65 | 100 | 0 1 5 |
| 43.19 | 46 | 1 0 10 |
| 55.83 | 26 | 1 1 0 |


Record 11
Diffraction record for Be3In2. The powder X-ray diffraction pattern is computed, not measured: it uses DFT lattice parameters and positions (PBE) and Cu Ka.

Atomic structure:
a b c (Å): 8.080 15.048 4.945
angles (deg): 90.00 90.00 90.00
Space group Fdd2 (No. 43)
One atom of each set of equivalent atoms:
Be: 0.000 0.000 0.000
Be: 0.081 0.370 0.276
In: 0.083 0.298 0.760

Main lines, low angle first (2θ from 15° to 90°):
| 2θ/deg | intensity | index |
| --- | --- | --- |
| 21.88 | 78 | 1 1 1 |
| 27.63 | 100 | 1 3 1 |
| 32.52 | 85 | 2 4 0 |
| 36.68 | 73 | 1 5 1 |
| 38.32 | 60 | 0 2 2 |
| 38.53 | 72 | 3 1 1 |


Record 12
Diffraction record for Be3In5. The powder X-ray diffraction pattern is computed, not measured: it uses DFT lattice parameters and positions (PBE) and Cu Ka.

Atomic structure:
a b c (Å): 8.899 9.741 4.035
angles (deg): 90.00 90.00 90.00
Space group Cmmm (No. 65)
One atom of each set of equivalent atoms:
Be: 0.000 0.000 0.000
Be: 0.000 0.110 0.500
In: 0.000 0.500 0.000
In: 0.242 0.500 0.500
In: 0.250 0.250 0.000

Main lines, low angle first (2θ from 15° to 90°):
| 2θ/deg | intensity | index |
| --- | --- | --- |
| 19.96 | 33 | 2 0 0 |
| 28.73 | 30 | 0 2 1 |
| 35.23 | 100 | 2 2 1 |
| 36.91 | 24 | 0 4 0 |
| 40.55 | 17 | 4 0 0 |
| 65.42 | 16 | 2 6 1 |